NaCdH3C3O6: theoretical X-ray powder pattern (Cu Kα X-rays), based on DFT lattice parameters and positions (PBE).
Neutral-atom scattering factors, no anomalous dispersion.

Structure:
Lattice parameters (Å, degrees): 6.348 7.168 14.117 90.00 90.00 90.00
Element x y z (fractional)
1 Na 0.250 0.000 0.223
2 Na 0.250 0.000 0.723
3 Na 0.750 0.000 0.277
4 Na 0.750 0.000 0.777
5 Cd 0.250 0.500 0.072
6 Cd 0.250 0.500 0.572
7 Cd 0.750 0.500 0.428
8 Cd 0.750 0.500 0.928
9 H 0.000 0.448 0.250
10 H 0.000 0.552 0.750
11 H 0.198 0.164 0.931
12 H 0.198 0.836 0.431
13 H 0.302 0.164 0.431
14 H 0.302 0.836 0.931
15 H 0.500 0.448 0.750
16 H 0.500 0.552 0.250
17 H 0.698 0.164 0.069
18 H 0.698 0.836 0.569
19 H 0.802 0.164 0.569
20 H 0.802 0.836 0.069
21 C 0.000 0.397 0.750
22 C 0.000 0.603 0.250
23 C 0.137 0.200 0.413
24 C 0.137 0.800 0.913
25 C 0.363 0.200 0.913
26 C 0.363 0.800 0.413
27 C 0.500 0.397 0.250
28 C 0.500 0.603 0.750
29 C 0.637 0.200 0.587
30 C 0.637 0.800 0.087
31 C 0.863 0.200 0.087
32 C 0.863 0.800 0.587
33 O 0.041 0.108 0.352
34 O 0.041 0.892 0.852
35 O 0.060 0.340 0.458
36 O 0.060 0.660 0.958
37 O 0.109 0.313 0.688
38 O 0.109 0.687 0.188
39 O 0.391 0.313 0.188
40 O 0.391 0.687 0.688
41 O 0.440 0.340 0.958
42 O 0.440 0.660 0.458
43 O 0.459 0.108 0.852
44 O 0.459 0.892 0.352
45 O 0.541 0.108 0.648
46 O 0.541 0.892 0.148
47 O 0.560 0.340 0.542
48 O 0.560 0.660 0.042
49 O 0.609 0.313 0.312
50 O 0.609 0.687 0.812
51 O 0.891 0.313 0.812
52 O 0.891 0.687 0.312
53 O 0.940 0.340 0.042
54 O 0.940 0.660 0.542
55 O 0.959 0.108 0.148
56 O 0.959 0.892 0.648

Largest 12 diffraction maxima, by angle, 2θ from 5° to 70°:
hkl  2theta  I_rel
0 1 0  12.35  968
0 1 2  17.63  792
1 0 2  18.80  499
1 1 2  22.55  1000
2 1 0  30.83  242
1 2 2  31.34  472
1 1 4  31.58  587
2 1 2  33.38  288
2 2 0  37.86  266
1 2 4  38.51  418
1 3 4  48.16  398
3 1 4  51.98  253